Structure and theoretical powder diffraction line list of NaNiCSO7 (a cell relaxed with GGA+U; λ = 1.5418 Å (Cu Kα)).

Structural model:
```
NaNiCSO7
1.0
5.1828 0.0000 0.0000
0.0000 6.5534 0.0000
-0.3385 0.0000 9.0457
Na Ni C S O
2 2 2 2 14
direct
0.2388 0.0000 0.2608
0.7612 0.5000 0.7392
0.2171 0.2126 0.8514
0.7829 0.7126 0.1486
0.2765 0.2315 0.5825
0.7235 0.7315 0.4175
0.2770 0.7218 0.9257
0.7230 0.2218 0.0743
0.0509 0.2294 0.6397
0.1444 0.7304 0.0691
0.1971 0.5383 0.8384
0.2157 0.9016 0.8334
0.3075 0.2320 0.4456
0.4369 0.2079 0.0410
0.4671 0.2316 0.6798
0.5329 0.7316 0.3202
0.5631 0.7079 0.9590
0.6925 0.7320 0.5544
0.7843 0.4016 0.1666
0.8029 0.0383 0.1616
0.8556 0.2304 0.9309
0.9491 0.7294 0.3603
```

Top 10 peaks for 2θ = 10–90°, in order of rising 2θ:
hkl	2θ (°)	I_rel
0 1 1	16.7	95
1 0 -1	19.4	45
1 0 1	20.1	57
1 1 0	21.9	49
1 1 1	24.3	35
1 0 -2	25.7	71
0 2 0	27.2	100
1 0 -3	33.8	40
2 0 0	34.6	38
1 1 3	37.7	44